No. 1
Diffraction record for Ca2LaMg5. The PXRD pattern is simulated, not measured: it uses a PBE-relaxed structure and Cu Kα X-rays.
Kinematic intensities with the Lorentz-polarization factor, no thermal factor.

Principal peaks in the range 2θ = 10–90°, sorted by position:
- 2θ = 11.46°, d 7.722, I 11
- 2θ = 17.21°, d 5.153, I 30
- 2θ = 23.02°, d 3.864, I 21
- 2θ = 23.74°, d 3.748, I 18
- 2θ = 32.78°, d 2.732, I 100
- 2θ = 37.24°, d 2.415, I 9
- 2θ = 47.04°, d 1.932, I 17
- 2θ = 58.51°, d 1.577, I 35
- 2θ = 68.71°, d 1.366, I 10
- 2θ = 78.24°, d 1.222, I 14

Crystal structure
```
data_Ca2LaMg5
_chemical_formula_sum 'Ca2 La1 Mg5'
_symmetry_space_group_name_H-M 'P 1'
_symmetry_Int_Tables_number 1
_symmetry_space_group_name_Hall 'P 1'
_cell_length_a 8.635
_cell_length_b 8.635
_cell_length_c 8.635
_cell_angle_alpha 143.09
_cell_angle_beta 143.09
_cell_angle_gamma 53.18
loop_
_atom_site_label
_atom_site_fract_x
_atom_site_fract_y
_atom_site_fract_z
Ca1 0.244 0.244 0.000
Ca2 0.756 0.756 0.000
La1 0.500 0.500 0.000
Mg1 0.000 0.000 0.000
Mg2 0.119 0.619 0.500
Mg3 0.381 0.881 0.500
Mg4 0.619 0.119 0.500
Mg5 0.881 0.381 0.500
```

---

No. 2
Diffraction record for Be2H5Ru. The PXRD pattern is simulated, not measured: it uses a PBE-relaxed structure and Cu Kα X-rays.
Kinematic intensities with the Lorentz-polarization factor, no thermal factor.

Principal peaks in the range 2θ = 10–90°, sorted by position:
- 2θ = 22.44°, d 3.963, I 100
- 2θ = 29.36°, d 3.042, I 47
- 2θ = 29.66°, d 3.012, I 22
- 2θ = 30.26°, d 2.954, I 22
- 2θ = 30.79°, d 2.904, I 18
- 2θ = 33.05°, d 2.711, I 16
- 2θ = 43.28°, d 2.090, I 17
- 2θ = 43.71°, d 2.071, I 16
- 2θ = 44.36°, d 2.042, I 16
- 2θ = 45.79°, d 1.981, I 16

Crystal structure
```
data_Be2H5Ru
_chemical_formula_sum 'Be2 H5 Ru1'
_symmetry_space_group_name_H-M 'P 1'
_symmetry_Int_Tables_number 1
_symmetry_space_group_name_Hall 'P 1'
_cell_length_a 4.332
_cell_length_b 4.332
_cell_length_c 3.572
_cell_angle_alpha 113.52
_cell_angle_beta 113.52
_cell_angle_gamma 84.17
loop_
_atom_site_label
_atom_site_fract_x
_atom_site_fract_y
_atom_site_fract_z
Be1 0.207 0.793 0.000
Be2 0.793 0.207 0.000
H1 0.109 0.109 0.670
H2 0.110 0.527 0.326
H3 0.486 0.486 0.977
H4 0.527 0.110 0.326
H5 0.760 0.760 0.770
Ru1 0.806 0.806 0.313
```

---

No. 3
Diffraction record for CsCdAu. The PXRD pattern is simulated, not measured: it uses a PBE-relaxed structure and Cu Kα X-rays.
Kinematic intensities with the Lorentz-polarization factor, no thermal factor.

Principal peaks in the range 2θ = 10–90°, sorted by position:
- 2θ = 16.18°, d 5.477, I 31
- 2θ = 19.85°, d 4.472, I 20
- 2θ = 25.72°, d 3.464, I 68
- 2θ = 28.22°, d 3.162, I 100
- 2θ = 34.75°, d 2.582, I 32
- 2θ = 36.69°, d 2.449, I 22
- 2θ = 43.73°, d 2.070, I 65
- 2θ = 48.46°, d 1.879, I 33
- 2θ = 61.00°, d 1.519, I 18
- 2θ = 64.82°, d 1.438, I 20

Crystal structure
```
data_CsCdAu
_chemical_formula_sum 'Cs4 Cd4 Au4'
_symmetry_space_group_name_H-M 'P 1'
_symmetry_Int_Tables_number 1
_symmetry_space_group_name_Hall 'P 1'
_cell_length_a 7.745
_cell_length_b 7.745
_cell_length_c 7.745
_cell_angle_alpha 90.00
_cell_angle_beta 90.00
_cell_angle_gamma 90.00
loop_
_atom_site_label
_atom_site_fract_x
_atom_site_fract_y
_atom_site_fract_z
Cs1 0.154 0.154 0.154
Cs2 0.346 0.846 0.654
Cs3 0.654 0.346 0.846
Cs4 0.846 0.654 0.346
Cd1 0.156 0.344 0.656
Cd2 0.344 0.656 0.156
Cd3 0.656 0.156 0.344
Cd4 0.844 0.844 0.844
Au1 0.080 0.580 0.920
Au2 0.420 0.420 0.420
Au3 0.580 0.920 0.080
Au4 0.920 0.080 0.580
```

---

No. 4
Diffraction record for Nd4AlAg3. The PXRD pattern is simulated, not measured: it uses a PBE-relaxed structure and Cu Kα X-rays.
Kinematic intensities with the Lorentz-polarization factor, no thermal factor.

Principal peaks in the range 2θ = 10–90°, sorted by position:
- 2θ = 23.79°, d 3.741, I 18
- 2θ = 30.06°, d 2.973, I 22
- 2θ = 31.06°, d 2.880, I 100
- 2θ = 32.78°, d 2.732, I 44
- 2θ = 35.49°, d 2.529, I 42
- 2θ = 37.37°, d 2.406, I 34
- 2θ = 37.87°, d 2.376, I 43
- 2θ = 50.54°, d 1.806, I 26
- 2θ = 59.70°, d 1.549, I 17
- 2θ = 72.59°, d 1.302, I 18

Crystal structure
```
data_Nd4AlAg3
_chemical_formula_sum 'Nd4 Al1 Ag3'
_symmetry_space_group_name_H-M 'P 1'
_symmetry_Int_Tables_number 1
_symmetry_space_group_name_Hall 'P 1'
_cell_length_a 3.770
_cell_length_b 4.813
_cell_length_c 11.891
_cell_angle_alpha 90.00
_cell_angle_beta 90.00
_cell_angle_gamma 90.00
loop_
_atom_site_label
_atom_site_fract_x
_atom_site_fract_y
_atom_site_fract_z
Nd1 0.000 0.000 0.000
Nd2 0.000 0.500 0.297
Nd3 0.500 0.000 0.500
Nd4 0.500 0.500 0.802
Al1 0.000 0.000 0.722
Ag1 0.000 0.500 0.581
Ag2 0.500 0.000 0.223
Ag3 0.500 0.500 0.077
```

---

No. 5
Diffraction record for Li7Zn2Cu. The PXRD pattern is simulated, not measured: it uses a PBE-relaxed structure and Cu Kα X-rays.
Kinematic intensities with the Lorentz-polarization factor, no thermal factor.

Principal peaks in the range 2θ = 10–90°, sorted by position:
- 2θ = 24.10°, d 3.693, I 41
- 2θ = 28.31°, d 3.153, I 100
- 2θ = 34.90°, d 2.571, I 20
- 2θ = 40.14°, d 2.247, I 60
- 2θ = 40.79°, d 2.212, I 59
- 2θ = 42.00°, d 2.151, I 22
- 2θ = 50.40°, d 1.811, I 19
- 2θ = 58.56°, d 1.576, I 19
- 2θ = 65.83°, d 1.419, I 17
- 2θ = 73.82°, d 1.284, I 18

Crystal structure
```
data_Li7Zn2Cu
_chemical_formula_sum 'Li7 Zn2 Cu1'
_symmetry_space_group_name_H-M 'P 1'
_symmetry_Int_Tables_number 1
_symmetry_space_group_name_Hall 'P 1'
_cell_length_a 9.592
_cell_length_b 9.592
_cell_length_c 9.592
_cell_angle_alpha 26.67
_cell_angle_beta 26.67
_cell_angle_gamma 26.67
loop_
_atom_site_label
_atom_site_fract_x
_atom_site_fract_y
_atom_site_fract_z
Li1 0.000 0.000 0.000
Li2 0.195 0.195 0.195
Li3 0.295 0.295 0.295
Li4 0.407 0.407 0.407
Li5 0.593 0.593 0.593
Li6 0.705 0.705 0.705
Li7 0.805 0.805 0.805
Zn1 0.102 0.102 0.102
Zn2 0.898 0.898 0.898
Cu1 0.500 0.500 0.500
```

---

No. 6
Diffraction record for Ho7ErCd4. The PXRD pattern is simulated, not measured: it uses a PBE-relaxed structure and Cu Kα X-rays.
Kinematic intensities with the Lorentz-polarization factor, no thermal factor.

Principal peaks in the range 2θ = 10–90°, sorted by position:
- 2θ = 28.78°, d 3.102, I 25
- 2θ = 30.03°, d 2.976, I 49
- 2θ = 30.65°, d 2.916, I 53
- 2θ = 31.52°, d 2.839, I 100
- 2θ = 31.86°, d 2.809, I 32
- 2θ = 32.22°, d 2.778, I 45
- 2θ = 33.51°, d 2.674, I 23
- 2θ = 35.50°, d 2.529, I 75
- 2θ = 44.09°, d 2.054, I 34
- 2θ = 45.43°, d 1.997, I 24

Crystal structure
```
data_Ho7ErCd4
_chemical_formula_sum 'Ho7 Er1 Cd4'
_symmetry_space_group_name_H-M 'P 1'
_symmetry_Int_Tables_number 1
_symmetry_space_group_name_Hall 'P 1'
_cell_length_a 7.839
_cell_length_b 7.839
_cell_length_c 9.674
_cell_angle_alpha 119.51
_cell_angle_beta 119.51
_cell_angle_gamma 42.46
loop_
_atom_site_label
_atom_site_fract_x
_atom_site_fract_y
_atom_site_fract_z
Ho1 0.000 0.000 0.000
Ho2 0.240 0.240 0.696
Ho3 0.294 0.294 0.119
Ho4 0.428 0.428 0.587
Ho5 0.572 0.572 0.413
Ho6 0.706 0.706 0.881
Ho7 0.760 0.760 0.304
Er1 0.500 0.500 0.000
Cd1 0.042 0.042 0.711
Cd2 0.181 0.181 0.342
Cd3 0.819 0.819 0.658
Cd4 0.958 0.958 0.289
```

---

Number 5 is which compound? Li7Zn2Cu

---

Repeat the sixth record exactly.
Diffraction record for Ho7ErCd4. The PXRD pattern is simulated, not measured: it uses a PBE-relaxed structure and Cu Kα X-rays.
Kinematic intensities with the Lorentz-polarization factor, no thermal factor.

Principal peaks in the range 2θ = 10–90°, sorted by position:
- 2θ = 28.78°, d 3.102, I 25
- 2θ = 30.03°, d 2.976, I 49
- 2θ = 30.65°, d 2.916, I 53
- 2θ = 31.52°, d 2.839, I 100
- 2θ = 31.86°, d 2.809, I 32
- 2θ = 32.22°, d 2.778, I 45
- 2θ = 33.51°, d 2.674, I 23
- 2θ = 35.50°, d 2.529, I 75
- 2θ = 44.09°, d 2.054, I 34
- 2θ = 45.43°, d 1.997, I 24

Crystal structure
```
data_Ho7ErCd4
_chemical_formula_sum 'Ho7 Er1 Cd4'
_symmetry_space_group_name_H-M 'P 1'
_symmetry_Int_Tables_number 1
_symmetry_space_group_name_Hall 'P 1'
_cell_length_a 7.839
_cell_length_b 7.839
_cell_length_c 9.674
_cell_angle_alpha 119.51
_cell_angle_beta 119.51
_cell_angle_gamma 42.46
loop_
_atom_site_label
_atom_site_fract_x
_atom_site_fract_y
_atom_site_fract_z
Ho1 0.000 0.000 0.000
Ho2 0.240 0.240 0.696
Ho3 0.294 0.294 0.119
Ho4 0.428 0.428 0.587
Ho5 0.572 0.572 0.413
Ho6 0.706 0.706 0.881
Ho7 0.760 0.760 0.304
Er1 0.500 0.500 0.000
Cd1 0.042 0.042 0.711
Cd2 0.181 0.181 0.342
Cd3 0.819 0.819 0.658
Cd4 0.958 0.958 0.289
```